# 1
# Nd2Dy4Sn3N2
Simulated X-ray powder pattern, Cu Kα. Input: a DFT-relaxed cell (GGA-PBE, Alexandria).

Peak list (10 most intense, 2θ from 10° to 80°, low angle first)
Position (°2θ)  Rel. int.
13.91  11
27.58  41
28.04  15
30.19  14
34.14  100
38.06  50
47.93  14
54.92  17
58.45  13
66.27  30

Structure:
```
Nd2Dy4Sn3N2
1.0
-2.364 2.364 12.729
2.364 -2.364 12.729
2.364 2.364 -12.729
Nd Dy Sn N
2 4 3 2
Cartesian
0.000 0.000 4.876 Nd
0.000 0.000 20.581 Nd
2.364 0.000 2.102 Dy
2.364 0.000 10.626 Dy
0.000 2.364 2.102 Dy
0.000 2.364 10.626 Dy
0.000 0.000 8.276 Sn
0.000 0.000 12.729 Sn
0.000 0.000 17.181 Sn
0.000 0.000 2.500 N
0.000 0.000 22.957 N
```

# 2
# Nd2DyTcN4
Simulated X-ray powder pattern, Cu Kα. Input: a DFT-relaxed cell (GGA-PBE, Alexandria).

Peak list (10 most intense, 2θ from 10° to 80°, low angle first)
Position (°2θ)  Rel. int.
26.68  37
29.57  43
29.87  58
30.60  88
37.41  100
42.53  31
46.39  21
48.58  16
52.67  17
62.46  26

Structure:
```
Nd2DyTcN4
1.0
1.738 -5.983 0.000
1.738 5.983 0.000
0.000 0.000 12.083
Nd Dy Tc N
4 2 2 8
Cartesian
1.738 4.399 6.522 Nd
1.738 4.399 11.603 Nd
1.738 -4.399 0.480 Nd
1.738 -4.399 5.562 Nd
1.738 1.604 9.062 Dy
1.738 -1.604 3.021 Dy
1.738 1.669 3.021 Tc
1.738 -1.669 9.062 Tc
1.738 5.239 9.062 N
1.738 3.223 1.677 N
1.738 3.223 4.365 N
1.738 0.000 0.000 N
1.738 0.000 6.042 N
1.738 -3.223 7.719 N
1.738 -3.223 10.406 N
1.738 -5.239 3.021 N
```

# 3
# DyNpN3
Simulated X-ray powder pattern, Cu Kα. Input: a DFT-relaxed cell (GGA-PBE, Alexandria).

Peak list (10 most intense, 2θ from 10° to 80°, low angle first)
Position (°2θ)  Rel. int.
23.17  23
30.05  100
32.99  54
45.22  14
49.41  10
51.41  49
55.25  12
60.70  12
64.18  18
77.26  15

Structure:
```
DyNpN3
1.0
6.650 0.000 0.000
0.000 6.650 0.000
0.000 0.000 6.650
Dy Np N
4 4 12
Cartesian
0.799 2.526 4.124 Dy
2.526 4.124 0.799 Dy
4.124 0.799 2.526 Dy
5.851 5.851 5.851 Dy
0.641 6.009 2.684 Np
2.684 0.641 6.009 Np
3.966 3.966 3.966 Np
6.009 2.684 0.641 Np
0.156 4.699 0.996 N
0.996 0.156 4.699 N
1.374 2.329 6.494 N
1.951 4.321 3.169 N
2.329 6.494 1.374 N
3.169 1.951 4.321 N
3.481 5.276 5.654 N
4.321 3.169 1.951 N
4.699 0.996 0.156 N
5.276 5.654 3.481 N
5.654 3.481 5.276 N
6.494 1.374 2.329 N
```

# 4
# Dy2NpN4
Simulated X-ray powder pattern, Cu Kα. Input: a DFT-relaxed cell (GGA-PBE, Alexandria).

Peak list (10 most intense, 2θ from 10° to 80°, low angle first)
Position (°2θ)  Rel. int.
17.82  18
30.77  33
31.12  100
31.46  55
31.79  92
41.36  21
44.58  43
51.95  16
56.64  32
62.21  28

Structure:
```
Dy2NpN4
1.0
5.811 0.000 0.000
0.000 9.653 0.000
0.000 0.000 3.520
Dy Np N
4 2 8
Cartesian
0.394 1.716 0.000 Dy
2.512 6.542 0.000 Dy
3.299 3.110 0.000 Dy
5.418 7.937 0.000 Dy
0.000 4.826 1.760 Np
2.906 0.000 1.760 Np
0.815 6.697 1.760 N
1.334 4.379 0.000 N
1.571 9.205 0.000 N
2.090 1.871 1.760 N
3.721 7.782 1.760 N
4.240 0.448 0.000 N
4.477 5.274 0.000 N
4.996 2.956 1.760 N
```

# 5
# DyNpS2N
Simulated X-ray powder pattern, Cu Kα. Input: a DFT-relaxed cell (GGA-PBE, Alexandria).

Peak list (10 most intense, 2θ from 10° to 80°, low angle first)
Position (°2θ)  Rel. int.
12.86  21
25.89  24
26.74  100
30.49  19
33.25  60
35.13  25
40.41  17
42.61  31
47.73  24
55.55  29

Structure:
```
DyNpS2N
1.0
3.811 0.000 0.000
0.000 3.811 0.000
0.000 0.000 13.767
Dy Np S N
2 2 4 2
Cartesian
0.953 0.953 1.662 Dy
2.858 2.858 12.105 Dy
0.953 0.953 8.059 Np
2.858 2.858 5.709 Np
0.953 0.953 4.265 S
0.953 0.953 12.500 S
2.858 2.858 1.268 S
2.858 2.858 9.502 S
0.953 2.858 6.884 N
2.858 0.953 6.884 N
```

# 6
# DyNO
Simulated X-ray powder pattern, Cu Kα. Input: a DFT-relaxed cell (GGA-PBE, Alexandria).

Peak list (10 most intense, 2θ from 10° to 80°, low angle first)
Position (°2θ)  Rel. int.
11.13  54
22.36  26
28.68  28
32.89  100
33.82  25
40.18  44
46.46  16
49.33  27
53.50  26
68.43  24

Structure:
```
DyNO
1.0
-1.587 1.587 7.952
1.587 -1.587 7.952
1.587 1.587 -7.952
Dy N O
2 2 2
Cartesian
0.000 0.000 2.503 Dy
0.000 0.000 13.400 Dy
0.000 0.000 7.348 N
0.000 0.000 8.555 N
0.000 0.000 4.805 O
0.000 0.000 11.098 O
```

# 7
# SmDyNO
Simulated X-ray powder pattern, Cu Kα. Input: a DFT-relaxed cell (GGA-PBE, Alexandria).

Peak list (10 most intense, 2θ from 10° to 80°, low angle first)
Position (°2θ)  Rel. int.
28.92  100
30.07  46
36.10  70
42.80  89
47.67  35
57.67  20
62.31  23
65.79  20
66.40  20
69.95  20

Structure:
```
SmDyNO
1.0
-1.599 1.599 5.944
1.599 -1.599 5.944
1.599 1.599 -5.944
Sm Dy N O
1 1 1 1
Cartesian
0.000 0.000 0.000 Sm
0.000 1.599 2.886 Dy
1.599 0.000 1.864 N
0.000 0.000 4.738 O
```

What did the first record say?
# Nd2Dy4Sn3N2
Simulated X-ray powder pattern, Cu Kα. Input: a DFT-relaxed cell (GGA-PBE, Alexandria).

Peak list (10 most intense, 2θ from 10° to 80°, low angle first)
Position (°2θ)  Rel. int.
13.91  11
27.58  41
28.04  15
30.19  14
34.14  100
38.06  50
47.93  14
54.92  17
58.45  13
66.27  30

Structure:
```
Nd2Dy4Sn3N2
1.0
-2.364 2.364 12.729
2.364 -2.364 12.729
2.364 2.364 -12.729
Nd Dy Sn N
2 4 3 2
Cartesian
0.000 0.000 4.876 Nd
0.000 0.000 20.581 Nd
2.364 0.000 2.102 Dy
2.364 0.000 10.626 Dy
0.000 2.364 2.102 Dy
0.000 2.364 10.626 Dy
0.000 0.000 8.276 Sn
0.000 0.000 12.729 Sn
0.000 0.000 17.181 Sn
0.000 0.000 2.500 N
0.000 0.000 22.957 N
```

Number 2 is which compound?
Nd2DyTcN4